Starting from DFT lattice parameters and positions (GGA-PBE), the powder diffraction line list of TbTm2Tl was calculated for Cu Kα X-rays.
Lines closer than 0.1° are merged.

Crystal structure
Unit cell a=6.6376 b=6.6376 c=10.0852 alpha=90.00 beta=90.00 gamma=148.31
Fractional coordinates of all 8 atoms:
Tb 0.0389 0.9611 0.7500
Tb 0.9611 0.0389 0.2500
Tm 0.3693 0.6307 0.5293
Tm 0.3693 0.6307 0.9707
Tm 0.6307 0.3693 0.0293
Tm 0.6307 0.3693 0.4707
Tl 0.2425 0.7575 0.2500
Tl 0.7575 0.2425 0.7500

Peak list (10 most intense, 15° ≤ 2θ ≤ 90°, most intense first)
- 33.21°, 2.697 Å, intensity 100
- 31.19°, 2.868 Å, intensity 94
- 33.67°, 2.662 Å, intensity 64
- 37.15°, 2.420 Å, intensity 46
- 35.61°, 2.521 Å, intensity 43
- 32.44°, 2.760 Å, intensity 37
- 56.50°, 1.629 Å, intensity 37
- 61.66°, 1.504 Å, intensity 34
- 50.35°, 1.812 Å, intensity 21
- 30.04°, 2.975 Å, intensity 20